Record 1
Diffraction record for Cu5Sn3Se10. The powder diffraction line list is theoretical, not measured: it uses a GGA-PBE-relaxed structure and Cu Kα.

Structural model:
Unit cell a=14.1811 b=14.1811 c=16.8382 alpha=90.00 beta=90.00 gamma=120.00
Positions (direct):
Cu: 0.0000 0.5000 0.0000
Cu: 0.0130 0.6429 0.8579
Cu: 0.1617 0.5726 0.8649
Cu: 0.3571 0.3701 0.5246
Cu: 0.3701 0.0130 0.1912
Cu: 0.4109 0.8383 0.1982
Cu: 0.4274 0.5891 0.5316
Cu: 0.5000 0.0000 0.3333
Cu: 0.5000 0.5000 0.6667
Cu: 0.5726 0.4109 0.5316
Cu: 0.5891 0.1617 0.1982
Cu: 0.6299 0.9870 0.1912
Cu: 0.6429 0.6299 0.5246
Cu: 0.8383 0.4274 0.8649
Cu: 0.9870 0.3571 0.8579
Sn: 0.0000 0.5000 0.6790
Sn: 0.2133 0.7693 0.0244
Sn: 0.2307 0.4441 0.6910
Sn: 0.4441 0.2133 0.3577
Sn: 0.5000 0.0000 0.0123
Sn: 0.5000 0.5000 0.3456
Sn: 0.5559 0.7867 0.3577
Sn: 0.7693 0.5559 0.6910
Sn: 0.7867 0.2307 0.0244
Se: 0.0060 0.6740 0.9964
Se: 0.0967 0.4316 0.5840
Se: 0.1405 0.6689 0.7586
Se: 0.1762 0.4124 0.8364
Se: 0.1950 0.5791 0.0041
Se: 0.2362 0.8238 0.1697
Se: 0.3260 0.3320 0.6630
Se: 0.3311 0.4716 0.4253
Se: 0.3320 0.0060 0.3297
Se: 0.3349 0.9033 0.9173
Se: 0.3841 0.8050 0.3374
Se: 0.4124 0.2362 0.5031
Se: 0.4209 0.6159 0.6707
Se: 0.4316 0.3349 0.2507
Se: 0.4716 0.1405 0.0919
Se: 0.5284 0.8595 0.0919
Se: 0.5684 0.6651 0.2507
Se: 0.5791 0.3841 0.6707
Se: 0.5876 0.7638 0.5031
Se: 0.6159 0.1950 0.3374
Se: 0.6651 0.0967 0.9173
Se: 0.6680 0.9940 0.3297
Se: 0.6689 0.5284 0.4253
Se: 0.6740 0.6680 0.6630
Se: 0.7638 0.1762 0.1697
Se: 0.8050 0.4209 0.0041
Se: 0.8238 0.5876 0.8364
Se: 0.8595 0.3311 0.7586
Se: 0.9033 0.5684 0.5840
Se: 0.9940 0.3260 0.9964

Largest 10 diffraction maxima, sorted by position, 2θ = 5–70°:
2theta  d/Å  I_rel  index
7.2  12.281  39  1 0 0
8.9  9.922  100  1 0 1
15.4  5.769  3  2 0 1
24.9  3.577  4  2 1 3
27.3  3.267  3  2 2 2
28.3  3.158  7  3 1 2
32.2  2.779  3  2 3 1
33.3  2.694  3  4 0 3
33.9  2.647  3  1 4 1
38.1  2.361  5  1 0 7

Record 2
Diffraction record for Ho2B4O9. The powder diffraction line list is theoretical, not measured: it uses a GGA-PBE-relaxed structure and Cu Kα.

Structural model:
Unit cell a=6.1140 b=6.3696 c=7.4410 alpha=102.71 beta=97.36 gamma=102.59
Positions (direct):
Ho: 0.0492 0.0913 0.2871
Ho: 0.3875 0.6774 0.3604
Ho: 0.6125 0.3226 0.6396
Ho: 0.9508 0.9087 0.7129
B: 0.1252 0.3565 0.6502
B: 0.1617 0.6841 0.9277
B: 0.2338 0.3339 0.9807
B: 0.4953 0.1440 0.1908
B: 0.5047 0.8560 0.8092
B: 0.7662 0.6661 0.0193
B: 0.8383 0.3159 0.0723
B: 0.8748 0.6435 0.3498
O: 0.0048 0.7922 0.0229
O: 0.0370 0.5379 0.7475
O: 0.0827 0.8197 0.4477
O: 0.2655 0.2621 0.7872
O: 0.2770 0.5740 0.0419
O: 0.2806 0.4068 0.5219
O: 0.3116 0.8732 0.8797
O: 0.3627 0.2842 0.1452
O: 0.4316 0.0442 0.3274
O: 0.5684 0.9558 0.6726
O: 0.6373 0.7158 0.8548
O: 0.6884 0.1268 0.1203
O: 0.7194 0.5932 0.4781
O: 0.7230 0.4260 0.9581
O: 0.7345 0.7379 0.2128
O: 0.9173 0.1803 0.5523
O: 0.9630 0.4621 0.2525
O: 0.9952 0.2078 0.9771

Largest 10 diffraction maxima, sorted by position, 2θ = 5–70°:
2theta  d/Å  I_rel  index
12.4  7.133  53  0 0 1
17.7  5.007  51  1 0 -1
23.7  3.747  48  1 1 0
26.7  3.333  44  1 0 -2
29.1  3.064  56  0 2 -1
29.8  3.002  33  1 -2 0
29.9  2.993  45  1 1 1
30.3  2.949  100  2 -1 0
32.3  2.771  37  0 1 2
36.3  2.478  34  2 1 -1

Record 3
Diffraction record for Dy5CoSb2. The powder diffraction line list is theoretical, not measured: it uses a GGA-PBE-relaxed structure and Cu Kα.

Structural model:
Unit cell a=12.1722 b=8.7623 c=7.8698 alpha=90.00 beta=90.00 gamma=90.00
Positions (direct):
Dy: 0.0019 0.2500 0.0474
Dy: 0.0649 0.5378 0.3218
Dy: 0.0649 0.9622 0.3218
Dy: 0.1937 0.2500 0.6210
Dy: 0.2037 0.7500 0.6553
Dy: 0.2963 0.2500 0.1553
Dy: 0.3063 0.7500 0.1210
Dy: 0.4351 0.0378 0.8218
Dy: 0.4351 0.4622 0.8218
Dy: 0.4981 0.7500 0.5474
Dy: 0.5019 0.2500 0.4526
Dy: 0.5649 0.5378 0.1782
Dy: 0.5649 0.9622 0.1782
Dy: 0.6937 0.2500 0.8790
Dy: 0.7037 0.7500 0.8447
Dy: 0.7963 0.2500 0.3447
Dy: 0.8063 0.7500 0.3790
Dy: 0.9351 0.0378 0.6782
Dy: 0.9351 0.4622 0.6782
Dy: 0.9981 0.7500 0.9526
Co: 0.0105 0.2500 0.4296
Co: 0.4895 0.7500 0.9296
Co: 0.5105 0.2500 0.0704
Co: 0.9895 0.7500 0.5704
Sb: 0.1729 0.0088 0.9285
Sb: 0.1729 0.4912 0.9285
Sb: 0.3271 0.5088 0.4285
Sb: 0.3271 0.9912 0.4285
Sb: 0.6729 0.0088 0.5715
Sb: 0.6729 0.4912 0.5715
Sb: 0.8271 0.5088 0.0715
Sb: 0.8271 0.9912 0.0715

Largest 10 diffraction maxima, sorted by position, 2θ = 5–70°:
2theta  d/Å  I_rel  index
27.5  3.240  16  2 2 1
31.5  2.843  100  4 0 1
31.7  2.825  15  3 0 2
32.1  2.784  53  3 2 1
34.0  2.638  31  2 2 2
35.0  2.564  17  1 0 3
35.9  2.499  16  4 2 0
38.8  2.323  9  2 1 3
41.2  2.191  23  0 4 0
52.8  1.734  12  4 4 1

Record 4
Diffraction record for Sr2ZnIrO6. The powder diffraction line list is theoretical, not measured: it uses a GGA-PBE-relaxed structure and Cu Kα.

Structural model:
Unit cell a=5.4893 b=5.4893 c=10.4670 alpha=90.00 beta=90.00 gamma=120.00
Positions (direct):
Sr: 0.3333 0.6667 0.0496
Sr: 0.3333 0.6667 0.4504
Sr: 0.6667 0.3333 0.5496
Sr: 0.6667 0.3333 0.9504
Zn: 0.3333 0.6667 0.7500
Zn: 0.6667 0.3333 0.2500
Ir: 0.0000 0.0000 0.2500
Ir: 0.0000 0.0000 0.7500
O: 0.0516 0.3145 0.8589
O: 0.0516 0.7371 0.6411
O: 0.2629 0.3145 0.6411
O: 0.2629 0.9484 0.8589
O: 0.3145 0.0516 0.3589
O: 0.3145 0.2629 0.1411
O: 0.6855 0.7371 0.8589
O: 0.6855 0.9484 0.6411
O: 0.7371 0.0516 0.1411
O: 0.7371 0.6855 0.3589
O: 0.9484 0.2629 0.3589
O: 0.9484 0.6855 0.1411

Largest 10 diffraction maxima, sorted by position, 2θ = 5–70°:
2theta  d/Å  I_rel  index
16.9  5.234  16  0 0 2
25.3  3.519  100  1 0 2
31.8  2.813  35  1 0 3
32.6  2.745  78  1 1 0
41.7  2.164  25  2 0 2
46.2  1.964  15  2 0 3
48.0  1.894  43  2 -1 4
54.0  1.699  25  3 -1 2
58.2  1.585  22  3 0 0
63.2  1.472  17  1 1 6

Record 5
Diffraction record for Zr2Al2CuAg. The powder diffraction line list is theoretical, not measured: it uses a GGA-PBE-relaxed structure and Cu Kα.

Structural model:
Unit cell a=7.5918 b=4.3622 c=14.5032 alpha=90.00 beta=99.70 gamma=90.00
Positions (direct):
Zr: 0.0000 0.0000 0.0000
Zr: 0.0096 0.5000 0.4930
Zr: 0.2337 0.0000 0.7355
Zr: 0.2469 0.5000 0.2415
Zr: 0.4800 0.0000 0.4834
Zr: 0.5000 0.5000 0.0000
Zr: 0.7426 0.0000 0.2357
Zr: 0.7591 0.5000 0.7394
Al: 0.1223 0.0000 0.3626
Al: 0.1222 0.5000 0.8631
Al: 0.3667 0.5000 0.6119
Al: 0.3716 0.0000 0.1218
Al: 0.6144 0.5000 0.3625
Al: 0.6211 0.0000 0.8655
Al: 0.8751 0.5000 0.1225
Al: 0.8757 0.0000 0.6147
Cu: 0.0603 0.5000 0.6761
Cu: 0.0605 0.0000 0.1823
Cu: 0.3064 0.5000 0.4251
Cu: 0.5582 0.5000 0.1814
Ag: 0.3089 0.0000 0.9286
Ag: 0.5576 0.0000 0.6754
Ag: 0.8079 0.0000 0.4271
Ag: 0.8107 0.5000 0.9304

Largest 10 diffraction maxima, sorted by position, 2θ = 5–70°:
2theta  d/Å  I_rel  index
24.9  3.571  100  1 1 1
41.2  2.189  89  3 1 -1
41.4  2.182  45  0 2 0
48.7  1.871  15  4 0 0
48.9  1.862  30  2 2 -2
59.5  1.553  7  4 0 4
59.9  1.543  14  2 2 -6
65.7  1.420  12  4 2 0
65.9  1.417  3  4 0 -8
66.0  1.416  3  1 3 1

Record 6
Diffraction record for La3Mg3Pt2Au. The powder diffraction line list is theoretical, not measured: it uses a GGA-PBE-relaxed structure and Cu Kα.

Structural model:
Unit cell a=7.7319 b=7.7319 c=4.1812 alpha=90.00 beta=90.00 gamma=120.00
Positions (direct):
La: 0.0000 0.4194 0.0000
La: 0.4194 0.0000 0.0000
La: 0.5806 0.5806 0.0000
Mg: 0.0000 0.7575 0.5000
Mg: 0.2425 0.2425 0.5000
Mg: 0.7575 0.0000 0.5000
Pt: 0.3333 0.6667 0.5000
Pt: 0.6667 0.3333 0.5000
Au: 0.0000 0.0000 0.0000

Largest 10 diffraction maxima, sorted by position, 2θ = 5–70°:
2theta  d/Å  I_rel  index
23.0  3.866  54  1 1 0
25.1  3.547  30  1 0 1
31.5  2.839  51  1 1 1
34.3  2.613  100  2 0 1
40.4  2.232  34  3 0 0
41.7  2.165  36  2 1 1
43.3  2.091  21  0 0 2
47.0  1.933  18  2 2 0
60.7  1.526  21  3 0 2
64.6  1.442  24  3 2 1